Record 1
The following is a simulated PXRD pattern of Mg2Zn. It was derived from a GGA-PBE-relaxed structure, using Cu Kα.
Kinematic intensities with the Lorentz-polarization factor, no thermal factor.

Cell and atoms:
abc: 3.0926 3.0926 14.5825
angles: 90.00 90.00 120.00
Sites, in units of the cell vectors:
Mg1 0.0000 0.0000 0.0000
Mg2 0.0000 0.0000 0.3168
Mg3 0.0000 0.0000 0.6832
Mg4 0.3333 0.6667 0.5000
Zn1 0.3333 0.6667 0.1586
Zn2 0.3333 0.6667 0.8414

Most intense lines, 15 to 90 degrees two-theta, by intensity:
2θ (°)  I_rel
38.37  100.0
33.46  34.1
36.99  21.2
18.25  19.6
50.72  18.8
59.81  16.9
72.44  16.0
67.57  13.4
73.33  13.4
41.85  11.2

***

Record 2
The following is a simulated PXRD pattern of Mg2Zn. It was derived from a GGA-PBE-relaxed structure, using Cu Kα.
Kinematic intensities with the Lorentz-polarization factor, no thermal factor.

Cell and atoms:
abc: 5.7147 5.7147 7.0698
angles: 101.82 101.82 31.79
Sites, in units of the cell vectors:
Mg1 0.0000 0.0000 0.0000
Mg2 0.0547 0.0547 0.5989
Mg3 0.3307 0.3307 0.6654
Mg4 0.6770 0.6770 0.3169
Zn1 0.3911 0.3911 0.2676
Zn2 0.7246 0.7246 0.9403

Most intense lines, 15 to 90 degrees two-theta, by intensity:
2θ (°)  I_rel
38.50  100.0
38.19  68.7
33.21  45.9
37.81  44.1
18.65  36.4
39.12  32.5
33.71  22.6
59.98  22.1
50.96  19.6
68.29  16.4

***

Record 3
The following is a simulated PXRD pattern of Mg2Zn. It was derived from a GGA-PBE-relaxed structure, using Cu Kα.
Kinematic intensities with the Lorentz-polarization factor, no thermal factor.

Cell and atoms:
abc: 5.9996 5.9996 7.0008
angles: 105.34 105.34 29.59
Sites, in units of the cell vectors:
Mg1 0.0253 0.0253 0.2814
Mg2 0.3014 0.3014 0.3445
Mg3 0.6986 0.6986 0.6555
Mg4 0.9747 0.9747 0.7186
Zn1 0.3584 0.3584 0.9744
Zn2 0.6415 0.6415 0.0256

Most intense lines, 15 to 90 degrees two-theta, by intensity:
2θ (°)  I_rel
38.08  100.0
39.08  54.9
35.74  47.6
34.01  26.7
40.18  24.4
61.73  17.1
42.69  14.1
34.68  13.6
65.04  13.0
71.41  11.1